# 1
This entry pairs a crystal structure of Tl7Hg5As with its simulated PXRD pattern. Radiation: Cu Ka. Structure: a crystal structure in Alexandria, relaxed with PBE.

Principal peaks in the range 10 to 80 degrees two-theta, sorted by position:
d = 3.162 Å, 28.22 deg, rel. 64; d = 2.980 Å, 29.98 deg, rel. 71; d = 2.794 Å, 32.04 deg, rel. 75; d = 2.779 Å, 32.21 deg, rel. 42; d = 2.555 Å, 35.12 deg, rel. 100; d = 2.042 Å, 44.35 deg, rel. 53

Structure:
Unit cell a=9.3455 b=9.3455 c=21.8675 alpha=98.49 beta=98.49 gamma=25.25
Element x y z (fractional)
Tl 0.0000 0.0000 0.0000
Tl 0.0513 0.0513 0.3031
Tl 0.0684 0.0684 0.7343
Tl 0.2595 0.2595 0.7800
Tl 0.2731 0.2731 0.2179
Tl 0.3223 0.3223 0.5212
Tl 0.5011 0.5011 0.1334
Tl 0.5091 0.5091 0.6072
Tl 0.5308 0.5308 0.4500
Tl 0.6309 0.6309 0.8608
Tl 0.8003 0.8003 0.0736
Tl 0.8205 0.8205 0.3865
Tl 0.8241 0.8241 0.9089
Tl 0.8574 0.8574 0.6460
Hg 0.1418 0.1418 0.1087
Hg 0.1502 0.1502 0.5566
Hg 0.1806 0.1806 0.4146
Hg 0.1850 0.1850 0.9733
Hg 0.4193 0.4193 0.3219
Hg 0.4255 0.4255 0.7522
Hg 0.6633 0.6633 0.2624
Hg 0.6902 0.6902 0.6677
Hg 0.9057 0.9057 0.2017
Hg 0.9799 0.9799 0.8567
As 0.3792 0.3792 0.0061
As 0.9419 0.9419 0.5132

# 2
This entry pairs a crystal structure of GeSbOs3 with its simulated PXRD pattern. Radiation: Cu Ka. Structure: a crystal structure in Alexandria, relaxed with PBE.

Principal peaks in the range 10 to 80 degrees two-theta, sorted by position:
d = 4.583 Å, 19.37 deg, rel. 16; d = 2.646 Å, 33.88 deg, rel. 100; d = 2.292 Å, 39.32 deg, rel. 78; d = 1.620 Å, 56.82 deg, rel. 54; d = 1.382 Å, 67.82 deg, rel. 41; d = 1.323 Å, 71.28 deg, rel. 18

Structure:
Unit cell a=4.5832 b=4.5832 c=4.5832 alpha=90.00 beta=90.00 gamma=90.00
Element x y z (fractional)
Ge 0.0000 0.0000 0.0000
Sb 0.5000 0.5000 0.5000
Os 0.0000 0.0000 0.5000
Os 0.0000 0.5000 0.0000
Os 0.5000 0.0000 0.0000

# 3
This entry pairs a crystal structure of Ac8LaSm3 with its simulated PXRD pattern. Radiation: Cu Ka. Structure: a crystal structure in Alexandria, relaxed with PBE.

Principal peaks in the range 10 to 80 degrees two-theta, sorted by position:
d = 3.187 Å, 28.00 deg, rel. 79; d = 3.169 Å, 28.16 deg, rel. 65; d = 3.119 Å, 28.62 deg, rel. 27; d = 3.027 Å, 29.51 deg, rel. 100; d = 2.798 Å, 31.98 deg, rel. 61; d = 2.654 Å, 33.77 deg, rel. 29

Structure:
Unit cell a=9.3770 b=9.3770 c=9.3770 alpha=133.69 beta=102.88 gamma=94.95
Element x y z (fractional)
Ac 0.0869 0.2497 0.8371
Ac 0.2689 0.2344 0.5033
Ac 0.2689 0.7656 0.0345
Ac 0.4126 0.2497 0.1629
Ac 0.5874 0.7503 0.8371
Ac 0.7311 0.2344 0.9655
Ac 0.7311 0.7656 0.4967
Ac 0.9131 0.7503 0.1629
La 0.0000 0.0000 0.0000
Sm 0.2882 0.7882 0.5000
Sm 0.5000 0.5000 0.0000
Sm 0.7118 0.2118 0.5000

# 4
This entry pairs a crystal structure of Na2TcOsO6 with its simulated PXRD pattern. Radiation: Cu Ka. Structure: a crystal structure in Alexandria, relaxed with PBE.

Principal peaks in the range 10 to 80 degrees two-theta, sorted by position:
d = 3.905 Å, 22.77 deg, rel. 51; d = 3.862 Å, 23.03 deg, rel. 99; d = 2.746 Å, 32.61 deg, rel. 100; d = 2.731 Å, 32.79 deg, rel. 49; d = 1.931 Å, 47.06 deg, rel. 36; d = 1.580 Å, 58.42 deg, rel. 39

Structure:
Unit cell a=5.4620 b=5.4620 c=3.9049 alpha=90.00 beta=90.00 gamma=90.00
Element x y z (fractional)
Na 0.0000 0.5000 0.0000
Na 0.5000 0.0000 0.0000
Tc 0.0000 0.0000 0.5000
Os 0.5000 0.5000 0.5000
O 0.0000 0.0000 0.0000
O 0.2504 0.2504 0.5000
O 0.2504 0.7496 0.5000
O 0.5000 0.5000 0.0000
O 0.7496 0.2504 0.5000
O 0.7496 0.7496 0.5000